Diffraction record for KMg4Cd8. The PXRD pattern is computed, not measured: it uses a DFT-relaxed cell (GGA-PBE, Alexandria) and Cu Ka.
No peak broadening, texture or thermal motion is included.

Most intense lines, 5 to 70 degrees two-theta, by angle:
2θ = 24.85°, I = 41.6; 2θ = 29.25°, I = 54.8; 2θ = 30.23°, I = 40.5; 2θ = 35.14°, I = 100.0; 2θ = 35.43°, I = 31.0; 2θ = 38.75°, I = 56.6; 2θ = 39.52°, I = 62.2; 2θ = 63.42°, I = 27.5

Atomic structure:
```
data_KMg4Cd8
_cell_length_a 7.7902
_cell_length_b 7.7902
_cell_length_c 7.7902
_cell_angle_alpha 98.84
_cell_angle_beta 98.84
_cell_angle_gamma 133.85
_space_group_name_H-M_alt 'P 1'
_space_group_IT_number 1
loop_
_space_group_symop_operation_xyz
'x,y,z'
loop_
_atom_site_label
_atom_site_type_symbol
_atom_site_fract_x
_atom_site_fract_y
_atom_site_fract_z
K1 K 0.0000 0.0000 0.0000
Mg1 Mg 0.0000 0.0000 0.5000
Mg2 Mg 0.0000 0.5000 0.0000
Mg3 Mg 0.5000 0.0000 0.0000
Mg4 Mg 0.5000 0.5000 0.5000
Cd1 Cd 0.0000 0.3489 0.3489
Cd2 Cd 0.0000 0.6511 0.6511
Cd3 Cd 0.2800 0.5000 0.7800
Cd4 Cd 0.3489 0.0000 0.3489
Cd5 Cd 0.5000 0.2800 0.7800
Cd6 Cd 0.5000 0.7200 0.2200
Cd7 Cd 0.6511 0.0000 0.6511
Cd8 Cd 0.7200 0.5000 0.2200
```